[1]
Mg2In2Ag3: calculated powder diffractogram (Cu Kα (λ = 1.5418 Å)), based on a DFT-relaxed cell (PBE, Alexandria).

Most intense lines, 5° ≤ 2θ ≤ 70°, in order of falling intensity:
| two_theta | I (rel.) |
| --- | --- |
| 39.67 | 100 |
| 33.33 | 99 |
| 20.90 | 59 |
| 36.62 | 56 |
| 55.08 | 32 |
| 25.67 | 27 |

Cell and atoms:
```
Mg2In2Ag3
1.0
-4.2507 4.2507 4.2507
4.2507 -4.2507 4.2507
4.2507 4.2507 -4.2507
Mg In Ag
4 4 6
Cartesian
2.2591 1.9916 -1.9916
1.9916 -1.9916 2.2591
1.9916 1.9916 1.9916
-1.9916 2.2591 1.9916
4.8697 -0.6190 0.6190
0.6190 4.8697 -0.6190
-0.6190 0.6190 4.8697
3.6317 3.6317 3.6317
4.2507 -2.1253 4.2326
4.2326 4.2507 -2.1253
4.2507 2.1253 0.0181
2.1253 0.0181 4.2507
0.0181 4.2507 2.1253
-2.1253 4.2326 4.2507
```


[2]
AcPrCBr: calculated powder diffractogram (Cu Kα (λ = 1.5418 Å)), based on a DFT-relaxed cell (PBE, Alexandria).

Most intense lines, 5° ≤ 2θ ≤ 70°, in order of falling intensity:
| two_theta | I (rel.) |
| --- | --- |
| 32.54 | 100 |
| 30.42 | 81 |
| 26.56 | 64 |
| 46.39 | 42 |
| 58.92 | 34 |
| 34.27 | 27 |

Cell and atoms:
```
AcPrCBr
1.0
1.9574 1.1301 7.8509
-1.9574 1.1301 7.8509
0.0000 -2.2602 7.8509
Ac Pr C Br
1 1 1 1
Cartesian
0.0000 0.0000 0.0000
0.0000 0.0000 4.9482
0.0000 0.0000 14.1559
0.0000 0.0000 18.3291
```


[3]
BeAsPbAu: calculated powder diffractogram (Cu Kα (λ = 1.5418 Å)), based on a DFT-relaxed cell (PBE, Alexandria).

Most intense lines, 5° ≤ 2θ ≤ 70°, in order of falling intensity:
| two_theta | I (rel.) |
| --- | --- |
| 7.96 | 100 |
| 36.58 | 71 |
| 33.48 | 32 |
| 24.34 | 28 |
| 46.92 | 27 |
| 33.71 | 26 |

Cell and atoms:
```
BeAsPbAu
1.0
3.8726 0.0000 0.0000
0.0000 3.8726 0.0000
0.0000 0.0000 11.1123
Be As Pb Au
2 2 2 2
Cartesian
0.9681 2.9044 0.0000
2.9044 0.9681 0.0000
0.9681 0.9681 1.3408
2.9044 2.9044 9.7714
0.9681 0.9681 8.0222
2.9044 2.9044 3.0901
0.9681 2.9044 5.5561
2.9044 0.9681 5.5561
```


[4]
KBiRu2O8: calculated powder diffractogram (Cu Kα (λ = 1.5418 Å)), based on a DFT-relaxed cell (PBE, Alexandria).

Most intense lines, 5° ≤ 2θ ≤ 70°, in order of falling intensity:
| two_theta | I (rel.) |
| --- | --- |
| 23.48 | 100 |
| 33.04 | 40 |
| 33.86 | 33 |
| 10.35 | 29 |
| 54.70 | 26 |
| 19.22 | 24 |

Cell and atoms:
```
KBiRu2O8
1.0
2.7108 1.5651 8.5488
-2.7108 1.5651 8.5488
0.0000 -3.1301 8.5488
K Bi Ru O
1 1 2 8
Cartesian
0.0000 0.0000 0.0000
0.0000 0.0000 12.8232
0.0000 0.0000 6.4253
0.0000 0.0000 19.2211
-1.0252 -1.5167 11.3328
-0.8009 -1.6462 14.3135
0.0000 0.0000 8.1779
-0.8009 1.6462 11.3329
-1.0252 1.5167 14.3135
0.0000 0.0000 17.4685
1.8261 -0.1295 11.3329
1.8261 0.1295 14.3135
```


[5]
Sc4Zn3: calculated powder diffractogram (Cu Kα (λ = 1.5418 Å)), based on a DFT-relaxed cell (PBE, Alexandria).

Most intense lines, 5° ≤ 2θ ≤ 70°, in order of falling intensity:
| two_theta | I (rel.) |
| --- | --- |
| 36.24 | 100 |
| 40.36 | 41 |
| 12.66 | 23 |
| 62.34 | 13 |
| 58.40 | 13 |
| 45.80 | 12 |

Cell and atoms:
```
Sc4Zn3
1.0
-1.5803 1.5803 13.9866
1.5803 -1.5803 13.9866
1.5803 1.5803 -13.9866
Sc Zn
4 3
Cartesian
0.0000 0.0000 1.8706
0.0000 0.0000 9.6886
0.0000 0.0000 18.2846
0.0000 0.0000 26.1027
0.0000 0.0000 6.2343
0.0000 0.0000 13.9866
0.0000 0.0000 21.7389
```